Calculated powder X-ray diffraction pattern
Compound: LiTcH6O7
Radiation: Cu Kα (λ = 1.5418 Å)
Structure: a crystal structure in Alexandria, relaxed with GGA-PBE
Neutral-atom scattering factors, no anomalous dispersion.

The 10 most intense peaks (10° ≤ 2θ ≤ 80°), by angle:
| d (Å) | I/Imax | (hkl) |
| --- | --- | --- |
| 6.865 | 32 | 1 0 0 |
| 4.408 | 100 | 1 0 1 |
| 3.963 | 55 | 1 1 0 |
| 2.947 | 60 | 2 0 1 |
| 2.875 | 20 | 0 0 2 |
| 2.595 | 21 | 2 1 0 |
| 2.365 | 14 | 2 1 1 |
| 2.327 | 13 | 1 1 2 |
| 1.982 | 13 | 2 2 0 |
| 1.807 | 21 | 3 1 1 |

Atomic structure:
```
LiTcH6O7
1.0
7.927 0.000 0.000
-3.963 6.865 0.000
0.000 0.000 5.749
Li Tc H O
2 2 12 14
Direct
0.000 0.000 0.000
0.000 0.000 0.500
0.333 0.667 0.320
0.667 0.333 0.820
0.066 0.328 0.747
0.066 0.738 0.747
0.262 0.328 0.747
0.262 0.934 0.747
0.328 0.066 0.247
0.328 0.262 0.247
0.672 0.738 0.747
0.672 0.934 0.747
0.738 0.066 0.247
0.738 0.672 0.247
0.934 0.262 0.247
0.934 0.672 0.247
0.092 0.546 0.223
0.120 0.241 0.749
0.120 0.880 0.749
0.241 0.120 0.249
0.333 0.667 0.621
0.454 0.546 0.223
0.454 0.908 0.223
0.546 0.092 0.723
0.546 0.454 0.723
0.667 0.333 0.121
0.759 0.880 0.749
0.880 0.120 0.249
0.880 0.759 0.249
0.908 0.454 0.723
```